No. 1
Simulated X-ray diffraction stick pattern
Compound: PmDyBiSb
Radiation: copper Kα
Structure: a GGA-PBE-relaxed structure

Top 6 peaks for 10° ≤ 2θ ≤ 80°, in order of rising 2θ:
hkl 1 1 0, 3.170 Å, 28.15 deg, I 100; hkl 2 0 0, 2.242 Å, 40.23 deg, I 78; hkl 2 0 2, 1.830 Å, 49.82 deg, I 28; hkl 2 2 0, 1.585 Å, 58.20 deg, I 13; hkl 3 1 0, 1.418 Å, 65.88 deg, I 36; hkl 3 1 2, 1.294 Å, 73.12 deg, I 27

Cell and atoms:
```
PmDyBiSb
1.0
4.486 0.000 0.000
0.000 4.486 0.000
0.000 0.000 6.334
Pm Dy Bi Sb
1 1 1 1
direct
0.000 0.000 0.000
0.500 0.500 0.500
0.500 0.500 0.000
0.000 0.000 0.500
```

No. 2
Simulated X-ray diffraction stick pattern
Compound: Sc2CrTc2
Radiation: copper Kα
Structure: a GGA-PBE-relaxed structure

Top 6 peaks for 10° ≤ 2θ ≤ 80°, in order of rising 2θ:
hkl 0 0 1, 4.533 Å, 19.58 deg, I 40; hkl 2 1 1, 2.369 Å, 37.97 deg, I 100; hkl 0 0 2, 2.267 Å, 39.77 deg, I 27; hkl 3 1 0, 1.965 Å, 46.19 deg, I 25; hkl 3 1 2, 1.485 Å, 62.56 deg, I 19; hkl 2 1 3, 1.328 Å, 70.99 deg, I 16

Cell and atoms:
```
Sc2CrTc2
1.0
6.215 0.000 0.000
0.000 6.215 0.000
0.000 0.000 4.533
Sc Cr Tc
4 2 4
direct
0.175 0.325 0.000
0.325 0.825 0.000
0.675 0.175 0.000
0.825 0.675 0.000
0.000 0.000 0.500
0.500 0.500 0.500
0.144 0.644 0.500
0.356 0.144 0.500
0.644 0.856 0.500
0.856 0.356 0.500
```

No. 3
Simulated X-ray diffraction stick pattern
Compound: Ca2Ac2PrY
Radiation: copper Kα
Structure: a GGA-PBE-relaxed structure

Top 6 peaks for 10° ≤ 2θ ≤ 80°, in order of rising 2θ:
hkl 0 1 1, 6.430 Å, 13.77 deg, I 16; hkl 1 0 2, 3.139 Å, 28.43 deg, I 100; hkl 0 3 2, 2.733 Å, 32.77 deg, I 34; hkl 2 0 0, 2.690 Å, 33.30 deg, I 17; hkl 2 3 2, 1.917 Å, 47.42 deg, I 24; hkl 1 3 4, 1.646 Å, 55.87 deg, I 27

Cell and atoms:
```
Ca2Ac2PrY
1.0
5.381 0.000 0.000
0.000 11.601 0.000
0.000 0.000 7.725
Ca Ac Pr Y
4 4 2 2
direct
0.000 0.003 0.000
0.000 0.997 0.500
0.500 0.170 0.754
0.500 0.830 0.254
0.000 0.344 0.502
0.000 0.656 0.002
0.500 0.183 0.249
0.500 0.817 0.749
0.000 0.345 0.018
0.000 0.655 0.518
0.500 0.500 0.261
0.500 0.500 0.761
```